Structure and computed powder XRD pattern of PrTiBi3 (a DFT-relaxed cell (GGA-PBE, Alexandria); copper Kα).
Peak positions follow from Bragg's law for the DFT cell and can differ from measured ones.

Structure:
a = 13.635 Å, b = 6.624 Å, c = 6.393 Å
α = 90.00°, β = 90.00°, γ = 90.00°
Fractional coordinates of all 20 atoms:
1 Pr 0.188 0.008 0.250
2 Pr 0.188 0.492 0.750
3 Pr 0.812 0.508 0.250
4 Pr 0.812 0.992 0.750
5 Ti 0.407 0.750 0.000
6 Ti 0.407 0.750 0.500
7 Ti 0.593 0.250 0.000
8 Ti 0.593 0.250 0.500
9 Bi 0.003 0.750 0.000
10 Bi 0.003 0.750 0.500
11 Bi 0.270 0.510 0.250
12 Bi 0.270 0.990 0.750
13 Bi 0.431 0.105 0.250
14 Bi 0.431 0.395 0.750
15 Bi 0.569 0.605 0.250
16 Bi 0.569 0.895 0.750
17 Bi 0.730 0.010 0.250
18 Bi 0.730 0.490 0.750
19 Bi 0.997 0.250 0.000
20 Bi 0.997 0.250 0.500

Principal peaks in the range 2θ = 10–90°, by angle:
d = 3.233 Å, 27.59 deg, I 81
d = 3.112 Å, 28.68 deg, I 45
d = 2.979 Å, 30.00 deg, I 93
d = 2.894 Å, 30.90 deg, I 55
d = 2.739 Å, 32.70 deg, I 100
d = 2.300 Å, 39.17 deg, I 80



Structure and computed powder XRD pattern of Pr8TlBi5 (a DFT-relaxed cell (GGA-PBE, Alexandria); copper Kα).
Peak positions follow from Bragg's law for the DFT cell and can differ from measured ones.

Structure:
a = 8.456 Å, b = 8.456 Å, c = 8.456 Å
α = 109.62°, β = 109.62°, γ = 109.17°
Fractional coordinates of all 14 atoms:
1 Pr 0.125 0.375 0.106
2 Pr 0.126 0.376 0.610
3 Pr 0.269 0.019 0.894
4 Pr 0.484 0.874 0.250
5 Pr 0.624 0.234 0.750
6 Pr 0.625 0.731 0.750
7 Pr 0.766 0.516 0.390
8 Pr 0.981 0.875 0.250
9 Tl 0.500 0.500 0.000
10 Bi 0.000 0.626 0.875
11 Bi 0.250 0.750 0.500
12 Bi 0.374 0.249 0.373
13 Bi 0.751 0.125 0.125
14 Bi 0.875 0.000 0.627

Principal peaks in the range 2θ = 10–90°, by angle:
d = 3.097 Å, 28.83 deg, I 51
d = 3.083 Å, 28.96 deg, I 100
d = 2.611 Å, 34.34 deg, I 65
d = 2.606 Å, 34.42 deg, I 32
d = 2.082 Å, 43.47 deg, I 22
d = 1.582 Å, 58.33 deg, I 31



Structure and computed powder XRD pattern of Pr4TlBi3 (a DFT-relaxed cell (GGA-PBE, Alexandria); copper Kα).
Peak positions follow from Bragg's law for the DFT cell and can differ from measured ones.

Structure:
a = 6.544 Å, b = 6.544 Å, c = 6.544 Å
α = 90.00°, β = 90.00°, γ = 90.00°
Fractional coordinates of all 8 atoms:
1 Pr 0.000 0.000 0.000
2 Pr 0.000 0.500 0.500
3 Pr 0.500 0.000 0.500
4 Pr 0.500 0.500 0.000
5 Tl 0.500 0.500 0.500
6 Bi 0.000 0.000 0.500
7 Bi 0.000 0.500 0.000
8 Bi 0.500 0.000 0.000

Principal peaks in the range 2θ = 10–90°, by angle:
d = 3.272 Å, 27.25 deg, I 100
d = 2.314 Å, 38.93 deg, I 79
d = 1.889 Å, 48.17 deg, I 29
d = 1.463 Å, 63.58 deg, I 38
d = 1.336 Å, 70.50 deg, I 28
d = 1.091 Å, 89.95 deg, I 20



Structure and computed powder XRD pattern of Pr2TlBi4 (a DFT-relaxed cell (GGA-PBE, Alexandria); copper Kα).
Peak positions follow from Bragg's law for the DFT cell and can differ from measured ones.

Structure:
a = 4.574 Å, b = 4.574 Å, c = 11.490 Å
α = 90.00°, β = 90.00°, γ = 90.00°
Fractional coordinates of all 7 atoms:
1 Pr 0.000 0.500 0.226
2 Pr 0.500 0.000 0.774
3 Tl 0.000 0.000 0.500
4 Bi 0.000 0.000 0.000
5 Bi 0.000 0.500 0.699
6 Bi 0.500 0.000 0.301
7 Bi 0.500 0.500 0.000

Principal peaks in the range 2θ = 10–90°, by angle:
d = 3.578 Å, 24.88 deg, I 19
d = 2.873 Å, 31.13 deg, I 17
d = 2.818 Å, 31.75 deg, I 100
d = 2.287 Å, 39.40 deg, I 33
d = 1.789 Å, 51.05 deg, I 17
d = 1.403 Å, 66.68 deg, I 25



Structure and computed powder XRD pattern of PrTm2Bi (a DFT-relaxed cell (GGA-PBE, Alexandria); copper Kα).
Peak positions follow from Bragg's law for the DFT cell and can differ from measured ones.

Structure:
a = 6.610 Å, b = 6.610 Å, c = 9.638 Å
α = 90.00°, β = 90.00°, γ = 143.19°
Fractional coordinates of all 8 atoms:
1 Pr 0.052 0.948 0.750
2 Pr 0.948 0.052 0.250
3 Tm 0.365 0.635 0.540
4 Tm 0.365 0.635 0.960
5 Tm 0.635 0.365 0.040
6 Tm 0.635 0.365 0.460
7 Bi 0.236 0.764 0.250
8 Bi 0.764 0.236 0.750

Principal peaks in the range 2θ = 10–90°, by angle:
d = 3.060 Å, 29.19 deg, I 100
d = 2.824 Å, 31.68 deg, I 90
d = 2.628 Å, 34.11 deg, I 73
d = 2.495 Å, 36.00 deg, I 53
d = 2.087 Å, 43.36 deg, I 35
d = 1.634 Å, 56.29 deg, I 36



Structure and computed powder XRD pattern of Pr3Tm5Bi8 (a DFT-relaxed cell (GGA-PBE, Alexandria); copper Kα).
Peak positions follow from Bragg's law for the DFT cell and can differ from measured ones.

Structure:
a = 9.023 Å, b = 9.023 Å, c = 9.023 Å
α = 60.07°, β = 60.07°, γ = 60.07°
Fractional coordinates of all 16 atoms:
1 Pr 0.000 0.500 0.500
2 Pr 0.500 0.000 0.500
3 Pr 0.500 0.500 0.000
4 Tm 0.000 0.000 0.000
5 Tm 0.000 0.000 0.500
6 Tm 0.000 0.500 0.000
7 Tm 0.500 0.000 0.000
8 Tm 0.500 0.500 0.500
9 Bi 0.240 0.750 0.750
10 Bi 0.245 0.245 0.245
11 Bi 0.250 0.250 0.760
12 Bi 0.250 0.760 0.250
13 Bi 0.750 0.240 0.750
14 Bi 0.750 0.750 0.240
15 Bi 0.755 0.755 0.755
16 Bi 0.760 0.250 0.250

Principal peaks in the range 2θ = 10–90°, by angle:
d = 3.192 Å, 27.95 deg, I 100
d = 2.257 Å, 39.94 deg, I 78
d = 1.843 Å, 49.46 deg, I 28
d = 1.596 Å, 57.77 deg, I 13
d = 1.427 Å, 65.38 deg, I 37
d = 1.303 Å, 72.52 deg, I 21



Structure and computed powder XRD pattern of Pr2TmBi4 (a DFT-relaxed cell (GGA-PBE, Alexandria); copper Kα).
Peak positions follow from Bragg's law for the DFT cell and can differ from measured ones.

Structure:
a = 4.519 Å, b = 4.519 Å, c = 11.836 Å
α = 90.00°, β = 90.00°, γ = 90.00°
Fractional coordinates of all 7 atoms:
1 Pr 0.000 0.500 0.216
2 Pr 0.500 0.000 0.784
3 Tm 0.000 0.000 0.500
4 Bi 0.000 0.000 0.000
5 Bi 0.000 0.500 0.676
6 Bi 0.500 0.000 0.324
7 Bi 0.500 0.500 0.000

Principal peaks in the range 2θ = 10–90°, by angle:
d = 3.591 Å, 24.79 deg, I 37
d = 2.812 Å, 31.83 deg, I 100
d = 2.475 Å, 36.29 deg, I 24
d = 2.259 Å, 39.90 deg, I 38
d = 1.669 Å, 55.03 deg, I 15
d = 1.389 Å, 67.43 deg, I 24



Structure and computed powder XRD pattern of PrTm3Bi2 (a DFT-relaxed cell (GGA-PBE, Alexandria); copper Kα).
Peak positions follow from Bragg's law for the DFT cell and can differ from measured ones.

Structure:
a = 9.627 Å, b = 9.627 Å, c = 9.888 Å
α = 112.58°, β = 112.58°, γ = 26.16°
Fractional coordinates of all 12 atoms:
1 Pr 0.112 0.112 0.121
2 Pr 0.888 0.888 0.879
3 Tm 0.058 0.058 0.670
4 Tm 0.311 0.311 0.112
5 Tm 0.365 0.365 0.522
6 Tm 0.635 0.635 0.478
7 Tm 0.689 0.689 0.888
8 Tm 0.942 0.942 0.330
9 Bi 0.246 0.246 0.706
10 Bi 0.487 0.487 0.157
11 Bi 0.513 0.513 0.843
12 Bi 0.754 0.754 0.294

Principal peaks in the range 2θ = 10–90°, by angle:
d = 2.955 Å, 30.25 deg, I 74
d = 2.842 Å, 31.47 deg, I 100
d = 2.677 Å, 33.48 deg, I 48
d = 2.583 Å, 34.73 deg, I 82
d = 2.179 Å, 41.45 deg, I 54
d = 1.522 Å, 60.85 deg, I 43



Structure and computed powder XRD pattern of PrY2Bi (a DFT-relaxed cell (GGA-PBE, Alexandria); copper Kα).
Peak positions follow from Bragg's law for the DFT cell and can differ from measured ones.

Structure:
a = 6.668 Å, b = 6.668 Å, c = 9.796 Å
α = 90.00°, β = 90.00°, γ = 143.28°
Fractional coordinates of all 8 atoms:
1 Pr 0.054 0.946 0.750
2 Pr 0.946 0.054 0.250
3 Y 0.364 0.636 0.541
4 Y 0.364 0.636 0.959
5 Y 0.636 0.364 0.041
6 Y 0.636 0.364 0.459
7 Bi 0.237 0.763 0.250
8 Bi 0.763 0.237 0.750

Principal peaks in the range 2θ = 10–90°, by angle:
d = 3.092 Å, 28.88 deg, I 68
d = 2.848 Å, 31.41 deg, I 100
d = 2.658 Å, 33.72 deg, I 49
d = 2.526 Å, 35.54 deg, I 38
d = 2.449 Å, 36.70 deg, I 27
d = 1.637 Å, 56.20 deg, I 39



Structure and computed powder XRD pattern of Pr2ZnBi4 (a DFT-relaxed cell (GGA-PBE, Alexandria); copper Kα).
Peak positions follow from Bragg's law for the DFT cell and can differ from measured ones.

Structure:
a = 4.626 Å, b = 4.626 Å, c = 10.015 Å
α = 90.00°, β = 90.00°, γ = 90.00°
Fractional coordinates of all 7 atoms:
1 Pr 0.000 0.500 0.241
2 Pr 0.500 0.000 0.759
3 Zn 0.000 0.000 0.000
4 Bi 0.000 0.000 0.500
5 Bi 0.000 0.500 0.841
6 Bi 0.500 0.000 0.159
7 Bi 0.500 0.500 0.500

Principal peaks in the range 2θ = 10–90°, by angle:
d = 3.338 Å, 26.70 deg, I 30
d = 3.109 Å, 28.71 deg, I 53
d = 2.738 Å, 32.70 deg, I 100
d = 2.313 Å, 38.94 deg, I 50
d = 1.901 Å, 47.85 deg, I 26
d = 1.404 Å, 66.61 deg, I 26



Structure and computed powder XRD pattern of Bi3Pt (a DFT-relaxed cell (GGA-PBE, Alexandria); copper Kα).
Peak positions follow from Bragg's law for the DFT cell and can differ from measured ones.

Structure:
a = 6.702 Å, b = 3.667 Å, c = 9.682 Å
α = 90.00°, β = 106.30°, γ = 90.00°
Fractional coordinates of all 8 atoms:
1 Bi 0.088 0.250 0.304
2 Bi 0.302 0.750 0.054
3 Bi 0.345 0.750 0.616
4 Bi 0.655 0.250 0.384
5 Bi 0.698 0.250 0.946
6 Bi 0.912 0.750 0.696
7 Pt 0.259 0.250 0.825
8 Pt 0.741 0.750 0.175

Principal peaks in the range 2θ = 10–90°, by angle:
d = 3.080 Å, 28.99 deg, I 34
d = 2.879 Å, 31.07 deg, I 100
d = 2.817 Å, 31.77 deg, I 44
d = 2.806 Å, 31.90 deg, I 30
d = 2.471 Å, 36.35 deg, I 39
d = 2.415 Å, 37.23 deg, I 73



Structure and computed powder XRD pattern of Bi4Pt3 (a DFT-relaxed cell (GGA-PBE, Alexandria); copper Kα).
Peak positions follow from Bragg's law for the DFT cell and can differ from measured ones.

Structure:
a = 7.072 Å, b = 7.072 Å, c = 6.138 Å
α = 109.16°, β = 109.16°, γ = 36.68°
Fractional coordinates of all 7 atoms:
1 Bi 0.075 0.075 0.313
2 Bi 0.332 0.332 0.192
3 Bi 0.668 0.668 0.808
4 Bi 0.925 0.925 0.687
5 Pt 0.274 0.274 0.691
6 Pt 0.500 0.500 0.000
7 Pt 0.726 0.726 0.309

Principal peaks in the range 2θ = 10–90°, by angle:
d = 3.219 Å, 27.71 deg, I 44
d = 3.032 Å, 29.46 deg, I 40
d = 2.455 Å, 36.61 deg, I 49
d = 2.421 Å, 37.14 deg, I 100
d = 2.225 Å, 40.54 deg, I 54
d = 2.192 Å, 41.17 deg, I 50